Diffraction record for V4O3F9. The XRD peak list is calculated, not measured: it uses a DFT-relaxed cell (PBE+U, Alexandria) and Cu Kα, 1.54184 Å.
Neutral-atom scattering factors, no anomalous dispersion.

```
data_V4O3F9
_chemical_formula_sum 'V4 O3 F9'
_symmetry_space_group_name_H-M 'P 1'
_symmetry_Int_Tables_number 1
_cell_length_a 5.4450
_cell_length_b 5.3382
_cell_length_c 7.2772
_cell_angle_alpha 90.00
_cell_angle_beta 92.39
_cell_angle_gamma 90.00
loop_
_symmetry_equiv_pos_as_xyz
'x,y,z'
loop_
_atom_site_label
_atom_site_type_symbol
_atom_site_fract_x
_atom_site_fract_y
_atom_site_fract_z
V1 V 0.0000 0.0000 0.2389
V2 V 0.0000 0.0000 0.7611
V3 V 0.4997 0.4957 0.2507
V4 V 0.5003 0.4957 0.7493
O1 O 0.0000 0.0665 0.0000
O2 O 0.5000 0.4421 0.0000
O3 O 0.5000 0.5491 0.5000
F1 F 0.0000 0.9199 0.5000
F2 F 0.1902 0.6874 0.2154
F3 F 0.1916 0.3024 0.7090
F4 F 0.3094 0.1873 0.2891
F5 F 0.3097 0.8040 0.7828
F6 F 0.6903 0.8040 0.2172
F7 F 0.6906 0.1873 0.7109
F8 F 0.8084 0.3024 0.2910
F9 F 0.8098 0.6874 0.7846
```

Main lines, by angle (2θ = 10–90°):
hkl 1 1 0, d 3.810, rel. 100.0; hkl 0 0 2, d 3.635, rel. 53.8; hkl 1 1 -2, d 2.669, rel. 17.3; hkl 2 2 0, d 1.905, rel. 22.6; hkl 0 0 4, d 1.818, rel. 10.9; hkl 3 1 0, d 1.717, rel. 13.6; hkl 1 3 0, d 1.691, rel. 11.2; hkl 1 1 -4, d 1.660, rel. 10.2